Record 1
Starting from a cell relaxed with PBE, the X-ray diffraction stick pattern of Ta13W16 was computed for Cu Kα.

Structural model:
```
data_Ta13W16
_chemical_formula_sum 'Ta26 W32'
_cell_length_a 10.055
_cell_length_b 10.055
_cell_length_c 10.055
_cell_angle_alpha 90.00
_cell_angle_beta 90.00
_cell_angle_gamma 90.00
_space_group_name_H-M_alt 'I -4 3 m'
_space_group_IT_number 217
_space_group_name_Hall 'I -4 2 3'
loop_
_atom_site_label
_atom_site_fract_x
_atom_site_fract_y
_atom_site_fract_z
Ta1 0.000 0.000 0.000
Ta2 0.045 0.362 0.638
W1 0.093 0.093 0.722
W2 0.180 0.180 0.180
```

Largest 10 diffraction maxima, by angle, 5° ≤ 2θ ≤ 70°:
2θ (°)	I (rel.)
35.72	8
37.96	100
42.15	32
44.12	11
46.02	14
56.41	2
61.14	3
64.17	5
65.66	10
68.58	28



Record 2
Starting from a cell relaxed with PBE, the X-ray diffraction stick pattern of Ho3Co11B4 was computed for Cu Kα.

Structural model:
```
data_Ho3Co11B4
_chemical_formula_sum 'Ho3 Co11 B4'
_cell_length_a 5.0112
_cell_length_b 5.0112
_cell_length_c 9.7554
_cell_angle_alpha 90.00
_cell_angle_beta 90.00
_cell_angle_gamma 120.00
_space_group_name_H-M_alt 'P 6/m m m'
_space_group_IT_number 191
_space_group_name_Hall '-P 6 2'
loop_
_atom_site_label
_atom_site_fract_x
_atom_site_fract_y
_atom_site_fract_z
Ho1 0.0000 0.0000 0.0000
Ho2 0.0000 0.0000 0.3419
Co1 0.0000 0.5000 0.2021
Co2 0.0000 0.5000 0.5000
Co3 0.3333 0.6667 0.0000
B1 0.3333 0.6667 0.3496
```

Largest 10 diffraction maxima, by angle, 5° ≤ 2θ ≤ 70°:
2θ (°)	I (rel.)
20.46	26
34.46	100
35.84	29
40.47	7
41.62	87
42.52	8
45.71	92
56.61	10
63.52	34
68.84	12



Record 3
Starting from a cell relaxed with PBE, the X-ray diffraction stick pattern of Zr6FeCl14 was computed for Cu Kα.

Structural model:
```
data_Zr6FeCl14
_chemical_formula_sum 'Zr24 Fe4 Cl56'
_cell_length_a 14.505
_cell_length_b 12.891
_cell_length_c 11.872
_cell_angle_alpha 90.00
_cell_angle_beta 90.00
_cell_angle_gamma 90.00
_space_group_name_H-M_alt 'C m c e'
_space_group_IT_number 64
_space_group_name_Hall '-C 2ac 2'
loop_
_atom_site_label
_atom_site_fract_x
_atom_site_fract_y
_atom_site_fract_z
Zr1 0.000 0.155 0.112
Zr2 0.122 0.074 0.881
Fe1 0.000 0.000 0.000
Cl1 0.000 0.157 0.741
Cl2 0.123 0.086 0.248
Cl3 0.123 0.244 0.992
Cl4 0.248 0.000 0.500
Cl5 0.250 0.157 0.750
```

Largest 10 diffraction maxima, by angle, 5° ≤ 2θ ≤ 70°:
2θ (°)	I (rel.)
11.83	100
12.20	9
24.73	14
31.59	8
32.08	12
35.95	14
36.38	25
38.57	8
49.30	14
50.33	8



Record 4
Starting from a cell relaxed with PBE, the X-ray diffraction stick pattern of BiAu17 was computed for Cu Kα.

Structural model:
```
data_BiAu17
_chemical_formula_sum 'Bi2 Au34'
_cell_length_a 5.8279
_cell_length_b 5.8279
_cell_length_c 34.3336
_cell_angle_alpha 90.00
_cell_angle_beta 90.00
_cell_angle_gamma 120.00
_space_group_name_H-M_alt 'P -3 m 1'
_space_group_IT_number 164
_space_group_name_Hall '-P 3 2"'
loop_
_atom_site_label
_atom_site_fract_x
_atom_site_fract_y
_atom_site_fract_z
Bi1 0.3333 0.6667 0.3077
Au1 0.0000 0.0000 0.0000
Au2 0.0000 0.0000 0.2096
Au3 0.0000 0.5000 0.0000
Au4 0.0040 0.5020 0.2113
Au5 0.1667 0.3333 0.7185
Au6 0.1672 0.3344 0.9295
Au7 0.1675 0.3351 0.1402
Au8 0.3333 0.6667 0.0701
Au9 0.3333 0.6667 0.8585
```

Largest 10 diffraction maxima, by angle, 5° ≤ 2θ ≤ 70°:
2θ (°)	I (rel.)
5.15	100
10.31	8
36.64	30
37.13	57
37.99	89
39.36	11
42.97	55
44.56	37
63.30	19
63.91	32



Record 5
Starting from a cell relaxed with PBE, the X-ray diffraction stick pattern of CoSb3 was computed for Cu Kα.

Structural model:
```
data_CoSb3
_chemical_formula_sum 'Co8 Sb24'
_cell_length_a 9.093
_cell_length_b 9.093
_cell_length_c 9.093
_cell_angle_alpha 90.00
_cell_angle_beta 90.00
_cell_angle_gamma 90.00
_space_group_name_H-M_alt 'I m -3'
_space_group_IT_number 204
_space_group_name_Hall '-I 2 2 3'
loop_
_atom_site_label
_atom_site_fract_x
_atom_site_fract_y
_atom_site_fract_z
Co1 0.250 0.250 0.250
Sb1 0.000 0.333 0.159
```

Largest 10 diffraction maxima, by angle, 5° ≤ 2θ ≤ 70°:
2θ (°)	I (rel.)
23.97	8
31.10	100
36.99	39
42.16	9
44.56	24
46.86	11
49.08	17
51.23	21
59.25	22
61.15	9



Record 6
Starting from a cell relaxed with PBE, the X-ray diffraction stick pattern of ZnB2S4O16 was computed for Cu Kα.

Structural model:
```
data_ZnB2S4O16
_chemical_formula_sum 'Zn2 B4 S8 O32'
_cell_length_a 7.703
_cell_length_b 8.072
_cell_length_c 9.414
_cell_angle_alpha 90.00
_cell_angle_beta 117.47
_cell_angle_gamma 90.00
_space_group_name_H-M_alt 'P 1 21/c 1'
_space_group_IT_number 14
loop_
_space_group_symop_operation_xyz
'x,y,z'
'-x,-y,-z'
'-x,y+1/2,-z+1/2'
'x,-y+1/2,z+1/2'
loop_
_atom_site_label
_atom_site_fract_x
_atom_site_fract_y
_atom_site_fract_z
Zn1 0.000 0.000 0.000
B1 0.281 0.055 0.628
S1 0.002 0.629 0.168
S2 0.452 0.150 0.168
O1 0.001 0.141 0.180
O2 0.070 0.726 0.621
O3 0.121 0.023 0.672
O4 0.207 0.082 0.453
O5 0.295 0.033 0.081
O6 0.370 0.203 0.722
O7 0.418 0.581 0.163
O8 0.436 0.699 0.411
```

Largest 10 diffraction maxima, by angle, 5° ≤ 2θ ≤ 70°:
2θ (°)	I (rel.)
12.95	50
19.12	89
22.08	71
24.50	100
25.64	54
26.08	82
30.62	64
30.81	25
31.82	39
32.15	69



Record 7
Starting from a cell relaxed with PBE, the X-ray diffraction stick pattern of In4Co was computed for Cu Kα.

Structural model:
```
data_In4Co
_chemical_formula_sum 'In32 Co8'
_cell_length_a 9.713
_cell_length_b 9.713
_cell_length_c 9.777
_cell_angle_alpha 90.00
_cell_angle_beta 90.00
_cell_angle_gamma 90.00
_space_group_name_H-M_alt 'P 42/m'
_space_group_IT_number 84
loop_
_space_group_symop_operation_xyz
'x,y,z'
'-x,-y,-z'
'-y,x,z+1/2'
'y,-x,-z+1/2'
'-x,-y,z'
'x,y,-z'
'y,-x,z+1/2'
'-y,x,-z+1/2'
loop_
_atom_site_label
_atom_site_fract_x
_atom_site_fract_y
_atom_site_fract_z
In1 0.000 0.500 0.205
In2 0.034 0.331 0.500
In3 0.047 0.813 0.176
In4 0.193 0.315 0.000
In5 0.280 0.649 0.000
In6 0.291 0.559 0.315
Co1 0.183 0.314 0.273
```

Largest 10 diffraction maxima, by angle, 5° ≤ 2θ ≤ 70°:
2θ (°)	I (rel.)
29.07	22
30.51	29
33.12	100
34.43	77
34.54	35
38.21	61
39.22	22
39.35	32
42.62	26
43.65	32



Record 8
Starting from a cell relaxed with PBE, the X-ray diffraction stick pattern of Ba4Pd4O11 was computed for Cu Kα.

Structural model:
```
data_Ba4Pd4O11
_chemical_formula_sum 'Ba4 Pd4 O11'
_cell_length_a 5.709
_cell_length_b 8.341
_cell_length_c 5.739
_cell_angle_alpha 90.00
_cell_angle_beta 90.01
_cell_angle_gamma 90.00
_space_group_name_H-M_alt 'P 1 m 1'
_space_group_IT_number 6
loop_
_space_group_symop_operation_xyz
'x,y,z'
'x,-y,z'
loop_
_atom_site_label
_atom_site_fract_x
_atom_site_fract_y
_atom_site_fract_z
Ba1 0.000 0.000 0.000
Ba2 0.028 0.500 0.012
Ba3 0.492 0.000 0.510
Ba4 0.528 0.500 0.526
Pd1 0.010 0.256 0.511
Pd2 0.511 0.249 0.019
O1 0.019 0.500 0.494
O2 0.231 0.215 0.242
O3 0.295 0.259 0.729
O4 0.504 0.000 0.969
O5 0.522 0.500 0.063
O6 0.742 0.212 0.292
O7 0.798 0.258 0.798
```

Largest 10 diffraction maxima, by angle, 5° ≤ 2θ ≤ 70°:
2θ (°)	I (rel.)
30.78	100
31.17	23
31.34	22
43.40	14
44.78	26
54.39	10
54.50	10
55.22	20
55.44	19
64.13	16



Record 9
Starting from a cell relaxed with PBE, the X-ray diffraction stick pattern of TlAgIrSeS2 was computed for Cu Kα.

Structural model:
```
data_TlAgIrSeS2
_chemical_formula_sum 'Tl4 Ag4 Ir4 Se4 S8'
_cell_length_a 3.632
_cell_length_b 15.129
_cell_length_c 9.864
_cell_angle_alpha 90.00
_cell_angle_beta 90.00
_cell_angle_gamma 90.00
_space_group_name_H-M_alt 'C m c m'
_space_group_IT_number 63
_space_group_name_Hall '-C 2c 2'
loop_
_atom_site_label
_atom_site_fract_x
_atom_site_fract_y
_atom_site_fract_z
Tl1 0.000 0.202 0.250
Ag1 0.000 0.141 0.750
Ir1 0.000 0.500 0.000
Se1 0.000 0.456 0.750
S1 0.000 0.103 0.514
```

Largest 10 diffraction maxima, by angle, 5° ≤ 2θ ≤ 70°:
2θ (°)	I (rel.)
21.51	90
30.33	100
31.15	24
31.69	38
36.43	46
36.79	30
43.01	46
48.11	56
50.24	19
63.87	18